1.
This entry pairs a crystal structure of Mn6O5F7 with its calculated X-ray powder pattern. Radiation: a wavelength of 1.5418 Å. Structure: the GGA+U geometry in the Materials Project.
Peak positions follow from Bragg's law for the DFT cell and can differ from measured ones.

Atomic structure:
```
data_Mn6O5F7
_cell_length_a 4.7285
_cell_length_b 5.7074
_cell_length_c 7.9060
_cell_angle_alpha 86.20
_cell_angle_beta 88.86
_cell_angle_gamma 88.69
_space_group_name_H-M_alt 'P 1'
_space_group_IT_number 1
loop_
_space_group_symop_operation_xyz
'x,y,z'
loop_
_atom_site_label
_atom_site_fract_x
_atom_site_fract_y
_atom_site_fract_z
Mn1 0.0000 0.0000 0.0000
Mn2 0.0019 0.6664 0.3308
Mn3 0.4554 0.1492 0.3229
Mn4 0.4730 0.4818 0.0038
Mn5 0.4848 0.8127 0.6402
Mn6 0.9427 0.3421 0.6752
O1 0.1730 0.6971 0.0989
O2 0.2826 0.2007 0.1100
O3 0.2892 0.8668 0.4232
O4 0.7801 0.2814 0.9040
O5 0.7918 0.6353 0.5543
F1 0.1729 0.3572 0.4494
F2 0.1838 0.0224 0.7507
F3 0.2868 0.5226 0.7630
F4 0.6676 0.1336 0.5423
F5 0.6706 0.7838 0.8867
F6 0.6803 0.4450 0.2473
F7 0.7789 0.9542 0.2256
```

Largest 8 diffraction maxima, sorted by position, 2θ = 10–90°:
index, Position (°2θ), d_spacing, I_rel
1 1 1, 26.16, 3.407, 100
-1 1 1, 26.95, 3.308, 92
0 2 -1, 34.16, 2.625, 76
1 1 -2, 34.28, 2.616, 24
1 3 0, 51.51, 1.774, 31
1 -3 0, 52.31, 1.749, 27
2 -2 1, 52.51, 1.743, 27
0 2 5, 65.74, 1.420, 21

2.
This entry pairs a crystal structure of Li9Mn2Co5O16 with its calculated X-ray powder pattern. Radiation: a wavelength of 1.5418 Å. Structure: the GGA+U geometry in the Materials Project.
Peak positions follow from Bragg's law for the DFT cell and can differ from measured ones.

Atomic structure:
```
data_Li9Mn2Co5O16
_cell_length_a 3.0280
_cell_length_b 5.1404
_cell_length_c 19.5618
_cell_angle_alpha 91.21
_cell_angle_beta 93.16
_cell_angle_gamma 104.81
_space_group_name_H-M_alt 'P 1'
_space_group_IT_number 1
loop_
_space_group_symop_operation_xyz
'x,y,z'
loop_
_atom_site_label
_atom_site_fract_x
_atom_site_fract_y
_atom_site_fract_z
Li1 0.0000 0.0000 0.0000
Li2 0.0675 0.3066 0.8143
Li3 0.1389 0.6169 0.6284
Li4 0.2619 0.2461 0.2522
Li5 0.3823 0.8775 0.8778
Li6 0.5034 0.4935 0.5034
Li7 0.6228 0.1151 0.1276
Li8 0.7542 0.7371 0.7513
Li9 0.8827 0.3714 0.3772
Mn1 0.1902 0.9314 0.4408
Mn2 0.3253 0.5563 0.0625
Co1 0.4504 0.1877 0.6951
Co2 0.5567 0.8070 0.3135
Co3 0.6784 0.4285 0.9333
Co4 0.8255 0.0560 0.5681
Co5 0.9489 0.6817 0.1890
O1 0.0111 0.8271 0.0982
O2 0.0154 0.1797 0.9101
O3 0.1130 0.4365 0.7187
O4 0.1839 0.7930 0.5330
O5 0.1930 0.0662 0.3479
O6 0.3154 0.4202 0.1551
O7 0.3649 0.6931 0.9717
O8 0.4097 0.0312 0.7734
O9 0.4587 0.3128 0.6027
O10 0.4994 0.6640 0.4053
O11 0.5845 0.9451 0.2228
O12 0.6456 0.2972 0.0262
O13 0.7272 0.5850 0.8552
O14 0.7636 0.9221 0.6570
O15 0.8812 0.1990 0.4761
O16 0.9191 0.5437 0.2799
```

Largest 8 diffraction maxima, sorted by position, 2θ = 10–90°:
index, Position (°2θ), d_spacing, I_rel
0 1 -1, 18.27, 4.856, 100
1 0 3, 34.43, 2.605, 18
-1 1 4, 35.74, 2.512, 13
0 0 8, 36.84, 2.440, 10
1 1 2, 41.33, 2.185, 33
-1 2 3, 43.39, 2.085, 28
0 1 -9, 45.00, 2.015, 24
-2 1 1, 61.29, 1.512, 8

3.
This entry pairs a crystal structure of Li9Co7O16 with its calculated X-ray powder pattern. Radiation: a wavelength of 1.5418 Å. Structure: the GGA+U geometry in the Materials Project.
Peak positions follow from Bragg's law for the DFT cell and can differ from measured ones.

Atomic structure:
```
data_Li9Co7O16
_cell_length_a 5.0504
_cell_length_b 2.9656
_cell_length_c 18.9892
_cell_angle_alpha 90.00
_cell_angle_beta 92.45
_cell_angle_gamma 90.00
_space_group_name_H-M_alt 'P 1 2/m 1'
_space_group_IT_number 10
loop_
_space_group_symop_operation_xyz
'x,y,z'
'-x,-y,-z'
'-x,y,-z'
'x,-y,z'
loop_
_atom_site_label
_atom_site_fract_x
_atom_site_fract_y
_atom_site_fract_z
Li1 0.0000 0.0000 0.0000
Li2 0.0000 0.5000 0.5000
Li3 0.1238 0.0000 0.3735
Li4 0.2494 0.5000 0.2494
Li5 0.3710 0.0000 0.1255
Li6 0.5000 0.5000 0.0000
Co1 0.1265 0.5000 0.8799
Co2 0.2433 0.0000 0.7511
Co3 0.3688 0.5000 0.6254
Co4 0.5000 0.0000 0.5000
O1 0.0459 0.0000 0.1894
O2 0.0849 0.5000 0.6873
O3 0.1518 0.5000 0.0705
O4 0.1994 0.0000 0.5662
O5 0.3038 0.0000 0.9331
O6 0.3439 0.5000 0.4372
O7 0.4057 0.5000 0.8147
O8 0.4602 0.0000 0.3130
```

Largest 8 diffraction maxima, sorted by position, 2θ = 10–90°:
index, Position (°2θ), d_spacing, I_rel
1 0 1, 18.39, 4.825, 100
0 1 4, 35.71, 2.515, 31
1 0 -7, 36.97, 2.431, 11
1 1 5, 43.09, 2.099, 58
2 0 -6, 45.00, 2.015, 24
2 1 6, 56.87, 1.619, 9
3 1 -1, 63.61, 1.463, 14
1 1 -11, 64.52, 1.444, 14

4.
This entry pairs a crystal structure of Ca2Nb2FeO8 with its calculated X-ray powder pattern. Radiation: a wavelength of 1.5418 Å. Structure: the GGA+U geometry in the Materials Project.
Peak positions follow from Bragg's law for the DFT cell and can differ from measured ones.

Atomic structure:
```
data_Ca2Nb2FeO8
_cell_length_a 19.1156
_cell_length_b 6.3426
_cell_length_c 5.5339
_cell_angle_alpha 90.00
_cell_angle_beta 91.31
_cell_angle_gamma 90.00
_space_group_name_H-M_alt 'C 1 2/c 1'
_space_group_IT_number 15
loop_
_space_group_symop_operation_xyz
'x,y,z'
'-x,-y,-z'
'-x,y,-z+1/2'
'x,-y,z+1/2'
'x+1/2,y+1/2,z'
'-x+1/2,-y+1/2,-z'
'-x+1/2,y+1/2,-z+1/2'
'x+1/2,-y+1/2,z+1/2'
loop_
_atom_site_label
_atom_site_fract_x
_atom_site_fract_y
_atom_site_fract_z
Ca1 0.2080 0.1827 0.2462
Nb1 0.1129 0.3486 0.7526
Fe1 0.0000 0.1416 0.2500
O1 0.0584 0.1478 0.5877
O2 0.0717 0.3776 0.0884
O3 0.1839 0.4402 0.5025
O4 0.1857 0.1471 0.8430
```

Largest 8 diffraction maxima, sorted by position, 2θ = 10–90°:
index, Position (°2θ), d_spacing, I_rel
3 1 0, 19.75, 4.495, 40
5 1 0, 27.24, 3.274, 73
5 1 -1, 31.48, 2.842, 100
5 1 1, 32.04, 2.793, 84
0 0 2, 32.36, 2.766, 61
0 2 1, 32.54, 2.751, 86
5 3 0, 49.25, 1.850, 51
0 2 3, 57.85, 1.594, 54

5.
This entry pairs a crystal structure of Ba3Y2WO9 with its calculated X-ray powder pattern. Radiation: a wavelength of 1.5418 Å. Structure: the GGA+U geometry in the Materials Project.
Peak positions follow from Bragg's law for the DFT cell and can differ from measured ones.

Atomic structure:
```
data_Ba3Y2WO9
_cell_length_a 6.1061
_cell_length_b 8.6540
_cell_length_c 18.3550
_cell_angle_alpha 90.00
_cell_angle_beta 90.00
_cell_angle_gamma 90.00
_space_group_name_H-M_alt 'I m m m'
_space_group_IT_number 71
_space_group_name_Hall '-I 2 2'
loop_
_atom_site_label
_atom_site_fract_x
_atom_site_fract_y
_atom_site_fract_z
Ba1 0.0000 0.2339 0.0000
Ba2 0.0000 0.2598 0.3396
Y1 0.0000 0.0000 0.1720
Y2 0.0000 0.0000 0.5000
Y3 0.0000 0.5000 0.5000
W1 0.0000 0.5000 0.1659
O1 0.0000 0.2466 0.5000
O2 0.0000 0.2715 0.1698
O3 0.2281 0.5000 0.0902
O4 0.2295 0.5000 0.2406
O5 0.2492 0.0000 0.0894
```

Largest 8 diffraction maxima, sorted by position, 2θ = 10–90°:
index, Position (°2θ), d_spacing, I_rel
1 1 0, 17.77, 4.992, 5
2 0 0, 29.21, 3.057, 100
2 0 6, 41.78, 2.162, 30
3 2 3, 51.79, 1.765, 39
2 4 6, 60.55, 1.529, 15
3 2 9, 68.63, 1.368, 14
3 6 3, 83.65, 1.156, 13
5 2 3, 83.78, 1.155, 7

6.
This entry pairs a crystal structure of La5Mn7CoPb3O24 with its calculated X-ray powder pattern. Radiation: a wavelength of 1.5418 Å. Structure: the GGA+U geometry in the Materials Project.
Peak positions follow from Bragg's law for the DFT cell and can differ from measured ones.

Atomic structure:
```
data_La5Mn7CoPb3O24
_cell_length_a 5.5143
_cell_length_b 7.9548
_cell_length_c 11.1246
_cell_angle_alpha 90.06
_cell_angle_beta 90.01
_cell_angle_gamma 90.75
_space_group_name_H-M_alt 'P 1'
_space_group_IT_number 1
loop_
_space_group_symop_operation_xyz
'x,y,z'
loop_
_atom_site_label
_atom_site_fract_x
_atom_site_fract_y
_atom_site_fract_z
La1 0.0000 0.0000 0.0000
La2 0.0014 0.4975 0.4998
La3 0.5002 0.4978 0.2508
La4 0.5009 0.4972 0.7497
La5 0.9973 0.0039 0.4976
Mn1 0.9996 0.7508 0.7498
Mn2 0.0013 0.2493 0.2501
Mn3 0.0006 0.7493 0.2498
Mn4 0.4987 0.7495 0.4999
Mn5 0.4997 0.2499 0.0000
Mn6 0.4995 0.7496 0.9998
Mn7 0.9986 0.2510 0.7493
Co1 0.4997 0.2493 0.4997
Pb1 0.4996 0.0004 0.7486
Pb2 0.5013 0.9994 0.2502
Pb3 0.9990 0.5009 0.9991
O1 0.0004 0.4990 0.2768
O2 0.2103 0.7692 0.3965
O3 0.2182 0.7812 0.8882
O4 0.2209 0.2815 0.6142
O5 0.2254 0.2730 0.1119
O6 0.2624 0.2357 0.3647
O7 0.2751 0.7089 0.6364
O8 0.2756 0.2264 0.8627
O9 0.2804 0.7212 0.1415
O10 0.4976 0.5061 0.4705
O11 0.4989 0.0008 0.0232
O12 0.5011 0.4990 0.9707
O13 0.5015 0.9909 0.5213
O14 0.7181 0.2794 0.1399
O15 0.7257 0.7730 0.8619
O16 0.7272 0.7654 0.3648
O17 0.7327 0.2863 0.6371
O18 0.7744 0.7291 0.1141
O19 0.7774 0.7171 0.6099
O20 0.7801 0.2188 0.8900
O21 0.7870 0.2314 0.3900
O22 0.9980 0.4992 0.7698
O23 0.9990 0.0010 0.2238
O24 0.9990 0.0014 0.7172
```

Largest 8 diffraction maxima, sorted by position, 2θ = 10–90°:
index, Position (°2θ), d_spacing, I_rel
1 0 2, 22.71, 3.916, 29
1 -2 2, 31.92, 2.803, 67
1 2 2, 32.22, 2.779, 100
2 0 0, 32.48, 2.757, 33
0 2 4, 39.54, 2.279, 30
0 4 0, 45.62, 1.989, 20
2 0 4, 46.37, 1.958, 39
3 -2 2, 57.41, 1.605, 27

7.
This entry pairs a crystal structure of MgCo6O8F4 with its calculated X-ray powder pattern. Radiation: a wavelength of 1.5418 Å. Structure: the GGA+U geometry in the Materials Project.
Peak positions follow from Bragg's law for the DFT cell and can differ from measured ones.

Atomic structure:
```
data_MgCo6O8F4
_cell_length_a 5.7124
_cell_length_b 5.8580
_cell_length_c 7.5646
_cell_angle_alpha 104.96
_cell_angle_beta 100.48
_cell_angle_gamma 113.65
_space_group_name_H-M_alt 'P 1'
_space_group_IT_number 1
loop_
_space_group_symop_operation_xyz
'x,y,z'
loop_
_atom_site_label
_atom_site_fract_x
_atom_site_fract_y
_atom_site_fract_z
Mg1 0.0000 0.0000 0.0000
Co1 0.2975 0.5384 0.3819
Co2 0.3468 0.9603 0.8008
Co3 0.6368 0.9795 0.1930
Co4 0.6598 0.4495 0.6455
Co5 0.9664 0.5133 0.0298
Co6 0.9759 0.9480 0.4655
O1 0.0157 0.6740 0.8372
O2 0.2096 0.7828 0.5335
O3 0.2926 0.2973 0.5037
O4 0.3284 0.6773 0.1881
O5 0.6291 0.2805 0.8317
O6 0.6650 0.6573 0.4909
O7 0.8952 0.8162 0.2018
O8 0.9556 0.2926 0.1765
F1 0.0810 0.1199 0.7812
F2 0.3967 0.1318 0.0993
F3 0.5897 0.8122 0.8834
F4 0.7569 0.1657 0.4816
```

Largest 8 diffraction maxima, sorted by position, 2θ = 10–90°:
index, Position (°2θ), d_spacing, I_rel
-1 1 1, 22.87, 3.889, 100
1 1 -1, 28.20, 3.165, 78
1 -2 2, 36.03, 2.493, 40
1 0 2, 36.16, 2.484, 23
2 -1 1, 36.41, 2.468, 35
2 -3 1, 49.05, 1.857, 16
3 0 0, 55.66, 1.651, 28
2 -2 4, 65.00, 1.435, 15

8.
This entry pairs a crystal structure of Na2HgMoF6 with its calculated X-ray powder pattern. Radiation: a wavelength of 1.5418 Å. Structure: the GGA+U geometry in the Materials Project.
Peak positions follow from Bragg's law for the DFT cell and can differ from measured ones.

Atomic structure:
```
data_Na2HgMoF6
_cell_length_a 9.6241
_cell_length_b 9.6241
_cell_length_c 9.6241
_cell_angle_alpha 90.00
_cell_angle_beta 90.00
_cell_angle_gamma 90.00
_space_group_name_H-M_alt 'F m -3 m'
_space_group_IT_number 225
_space_group_name_Hall '-F 4 2 3'
loop_
_atom_site_label
_atom_site_fract_x
_atom_site_fract_y
_atom_site_fract_z
Na1 0.2500 0.2500 0.2500
Hg1 0.0000 0.0000 0.0000
Mo1 0.0000 0.0000 0.5000
F1 0.0000 0.0000 0.2943
```

Largest 8 diffraction maxima, sorted by position, 2θ = 10–90°:
index, Position (°2θ), d_spacing, I_rel
2 0 0, 18.44, 4.812, 100
2 2 0, 26.19, 3.403, 100
4 0 0, 37.38, 2.406, 38
4 2 0, 41.98, 2.152, 42
4 2 2, 46.21, 1.965, 38
4 4 0, 53.89, 1.701, 23
6 2 0, 60.88, 1.522, 23
6 4 2, 73.66, 1.286, 24

9.
This entry pairs a crystal structure of Sm2MgCr2O8 with its calculated X-ray powder pattern. Radiation: a wavelength of 1.5418 Å. Structure: the GGA+U geometry in the Materials Project.
Peak positions follow from Bragg's law for the DFT cell and can differ from measured ones.

Atomic structure:
```
data_Sm2MgCr2O8
_cell_length_a 9.7106
_cell_length_b 7.4106
_cell_length_c 6.4731
_cell_angle_alpha 90.00
_cell_angle_beta 129.18
_cell_angle_gamma 90.00
_space_group_name_H-M_alt 'C 1 2 1'
_space_group_IT_number 5
loop_
_space_group_symop_operation_xyz
'x,y,z'
'-x,y,-z'
'x+1/2,y+1/2,z'
'-x+1/2,y+1/2,-z'
loop_
_atom_site_label
_atom_site_fract_x
_atom_site_fract_y
_atom_site_fract_z
Sm1 0.2308 0.0000 0.0992
Mg1 0.0000 0.7869 0.5000
Cr1 0.2323 0.5315 0.3623
O1 0.0530 0.5571 0.3678
O2 0.0726 0.9790 0.2945
O3 0.2399 0.1949 0.8061
O4 0.2438 0.3322 0.1988
```

Largest 8 diffraction maxima, sorted by position, 2θ = 10–90°:
index, Position (°2θ), d_spacing, I_rel
1 1 -1, 18.21, 4.872, 31
2 0 0, 23.64, 3.763, 100
0 2 0, 24.02, 3.705, 97
1 1 -2, 32.00, 2.797, 81
3 1 -2, 32.93, 2.720, 78
2 2 0, 33.95, 2.640, 56
1 1 2, 46.46, 1.955, 42
3 3 -2, 48.23, 1.887, 37

10.
This entry pairs a crystal structure of NdEuNiSbO6 with its calculated X-ray powder pattern. Radiation: a wavelength of 1.5418 Å. Structure: the GGA+U geometry in the Materials Project.
Peak positions follow from Bragg's law for the DFT cell and can differ from measured ones.

Atomic structure:
```
data_NdEuNiSbO6
_cell_length_a 7.9983
_cell_length_b 7.9983
_cell_length_c 7.9983
_cell_angle_alpha 90.00
_cell_angle_beta 90.00
_cell_angle_gamma 90.00
_space_group_name_H-M_alt 'F -4 3 m'
_space_group_IT_number 216
_space_group_name_Hall 'F -4 2 3'
loop_
_atom_site_label
_atom_site_fract_x
_atom_site_fract_y
_atom_site_fract_z
Nd1 0.0000 0.0000 0.0000
Eu1 0.0000 0.0000 0.5000
Ni1 0.2500 0.2500 0.2500
Sb1 0.2500 0.2500 0.7500
O1 0.0027 0.2500 0.7500
```

Largest 8 diffraction maxima, sorted by position, 2θ = 10–90°:
index, Position (°2θ), d_spacing, I_rel
1 1 1, 19.22, 4.618, 4
2 2 0, 31.64, 2.828, 100
2 2 2, 39.01, 2.309, 8
4 0 0, 45.35, 2.000, 30
4 2 2, 56.35, 1.633, 39
4 4 0, 66.08, 1.414, 18
6 2 0, 75.12, 1.265, 17
4 4 4, 83.79, 1.154, 6